# RbGeIr
Theoretical powder diffractogram, Cu Kα (λ = 1.5418 Å). Input: a DFT-relaxed cell (GGA-PBE, OQMD).
No peak broadening, texture or thermal motion is included.

Cell: 4.196 4.196 11.099 Å, 90.00 90.00 90.00°
Fractional positions:
1 Rb 0.250 0.250 0.217
2 Rb 0.750 0.750 0.783
3 Ge 0.250 0.250 0.619
4 Ge 0.750 0.750 0.381
5 Ir 0.250 0.750 0.500
6 Ir 0.750 0.250 0.500

Principal peaks in the range 10 to 90 degrees two-theta, low angle first:
2θ (°)	intensity	(hkl)
24.05	33.1	0 0 3
26.63	34.4	1 0 2
31.20	42.4	1 1 1
32.26	41.4	0 0 4
34.27	100.0	1 1 2
38.91	38.3	1 1 3
43.12	47.3	2 0 0
43.92	37.7	2 0 1
51.41	59.8	1 1 5
85.20	30.7	3 1 5